Computed powder diffractogram
Compound: TcIr3
Radiation: λ = 1.5418 Å (Cu Kα)
Structure: a crystal structure in the Materials Project, relaxed with PBE
Intensities are scaled so that the largest is 100.

Atomic structure:
```
TcIr3
1.0
5.528 0.000 0.000
-2.764 4.788 0.000
0.000 0.000 4.383
Tc Ir
2 6
direct
0.333 0.667 0.250
0.667 0.333 0.750
0.167 0.334 0.750
0.167 0.833 0.750
0.334 0.167 0.250
0.666 0.833 0.750
0.833 0.167 0.250
0.833 0.666 0.250
```

The 6 most intense peaks (2θ from 10° to 90°), by angle:
- 2θ 37.57, I = 24
- 2θ 41.19, I = 25
- 2θ 43.05, I = 100
- 2θ 67.81, I = 17
- 2θ 76.36, I = 19
- 2θ 82.52, I = 21

=====

Computed powder diffractogram
Compound: K3SiF7
Radiation: λ = 1.5418 Å (Cu Kα)
Structure: a crystal structure in the Materials Project, relaxed with PBE
Intensities are scaled so that the largest is 100.

Atomic structure:
```
K3SiF7
1.0
7.832 0.000 0.000
0.000 7.832 0.000
0.000 0.000 5.629
K Si F
6 2 14
direct
0.000 0.000 0.000
0.195 0.305 0.500
0.305 0.805 0.500
0.500 0.500 0.000
0.695 0.195 0.500
0.805 0.695 0.500
0.000 0.500 0.000
0.500 0.000 0.000
0.000 0.000 0.500
0.109 0.609 0.218
0.109 0.609 0.782
0.155 0.345 0.000
0.345 0.845 0.000
0.391 0.109 0.218
0.391 0.109 0.782
0.500 0.500 0.500
0.609 0.891 0.218
0.609 0.891 0.782
0.655 0.155 0.000
0.845 0.655 0.000
0.891 0.391 0.218
0.891 0.391 0.782
```

The 6 most intense peaks (2θ from 10° to 90°), by angle:
- 2θ 27.75, I = 100
- 2θ 31.80, I = 32
- 2θ 32.33, I = 69
- 2θ 36.27, I = 51
- 2θ 41.14, I = 94
- 2θ 45.98, I = 42

=====

Computed powder diffractogram
Compound: Ho3Co4Ge13
Radiation: λ = 1.5418 Å (Cu Kα)
Structure: a crystal structure in the Materials Project, relaxed with PBE
Intensities are scaled so that the largest is 100.

Atomic structure:
```
Ho3Co4Ge13
1.0
8.810 0.000 0.000
0.000 8.810 0.000
0.000 0.000 8.810
Ho Co Ge
6 8 26
direct
0.000 0.250 0.500
0.000 0.750 0.500
0.250 0.500 0.000
0.500 0.000 0.250
0.500 0.000 0.750
0.750 0.500 0.000
0.250 0.250 0.250
0.250 0.250 0.750
0.250 0.750 0.250
0.250 0.750 0.750
0.750 0.250 0.250
0.750 0.250 0.750
0.750 0.750 0.250
0.750 0.750 0.750
0.000 0.000 0.000
0.000 0.305 0.154
0.000 0.305 0.846
0.000 0.695 0.154
0.000 0.695 0.846
0.154 0.000 0.305
0.154 0.000 0.695
0.195 0.500 0.346
0.195 0.500 0.654
0.305 0.154 0.000
0.305 0.846 0.000
0.346 0.195 0.500
0.346 0.805 0.500
0.500 0.346 0.195
0.500 0.346 0.805
0.500 0.500 0.500
0.500 0.654 0.195
0.500 0.654 0.805
0.654 0.195 0.500
0.654 0.805 0.500
0.695 0.154 0.000
0.695 0.846 0.000
0.805 0.500 0.346
0.805 0.500 0.654
0.846 0.000 0.305
0.846 0.000 0.695
```

The 6 most intense peaks (2θ from 10° to 90°), by angle:
- 2θ 22.57, I = 14
- 2θ 36.78, I = 100
- 2θ 38.22, I = 38
- 2θ 40.98, I = 24
- 2θ 65.29, I = 14
- 2θ 70.96, I = 14

=====

Computed powder diffractogram
Compound: CuPbO3
Radiation: λ = 1.5418 Å (Cu Kα)
Structure: a crystal structure in the Materials Project, relaxed with PBE
Intensities are scaled so that the largest is 100.

Atomic structure:
```
CuPbO3
1.0
3.873 0.000 0.000
0.000 3.873 0.000
0.000 0.000 3.873
Cu Pb O
1 1 3
direct
0.000 0.000 0.000
0.500 0.500 0.500
0.000 0.000 0.500
0.000 0.500 0.000
0.500 0.000 0.000
```

The 6 most intense peaks (2θ from 10° to 90°), by angle:
- 2θ 22.96, I = 24
- 2θ 32.70, I = 100
- 2θ 40.33, I = 19
- 2θ 46.92, I = 28
- 2θ 58.36, I = 39
- 2θ 78.01, I = 17

=====

Computed powder diffractogram
Compound: ScZn
Radiation: λ = 1.5418 Å (Cu Kα)
Structure: a crystal structure in the Materials Project, relaxed with PBE
Intensities are scaled so that the largest is 100.

Atomic structure:
```
ScZn
1.0
3.357 0.000 0.000
0.000 3.357 0.000
0.000 0.000 3.357
Sc Zn
1 1
direct
0.000 0.000 0.000
0.500 0.500 0.500
```

The 6 most intense peaks (2θ from 10° to 90°), by angle:
- 2θ 26.56, I = 6
- 2θ 37.91, I = 100
- 2θ 54.69, I = 16
- 2θ 61.80, I = 3
- 2θ 68.47, I = 31
- 2θ 81.03, I = 9

=====

Computed powder diffractogram
Compound: ZnInGaO4
Radiation: λ = 1.5418 Å (Cu Kα)
Structure: a crystal structure in the Materials Project, relaxed with PBE
Intensities are scaled so that the largest is 100.

Atomic structure:
```
ZnInGaO4
1.0
1.680 0.970 8.713
-1.680 0.970 8.713
0.000 -1.940 8.713
Zn In Ga O
1 1 1 4
direct
0.000 0.000 0.000
0.784 0.784 0.784
0.569 0.569 0.569
0.077 0.077 0.077
0.493 0.493 0.493
0.645 0.645 0.645
0.903 0.903 0.903
```

The 6 most intense peaks (2θ from 10° to 90°), by angle:
- 2θ 30.78, I = 66
- 2θ 30.91, I = 87
- 2θ 33.71, I = 100
- 2θ 35.30, I = 86
- 2θ 54.62, I = 64
- 2θ 64.03, I = 56